Record 1
For La3Dy13, DFT lattice parameters and positions (GGA-PBE) gives the computed powder diffraction line list in this record (a wavelength of 1.5418 Å).
Lines closer than 0.1° are merged.

Structural model:
a = 10.1427 Å, b = 7.1600 Å, c = 7.1600 Å
α = 89.74°, β = 90.00°, γ = 90.00°
Atoms (fractional coordinates):
La: 0.0000 0.0000 0.0000
La: 0.2503 0.2541 0.2541
La: 0.7497 0.2541 0.2541
Dy: 0.0000 0.0004 0.5046
Dy: 0.0000 0.5046 0.0004
Dy: 0.0000 0.5058 0.5058
Dy: 0.2521 0.2534 0.7523
Dy: 0.2521 0.7523 0.2534
Dy: 0.2529 0.7513 0.7513
Dy: 0.5000 0.0005 0.0005
Dy: 0.5000 0.0009 0.5058
Dy: 0.5000 0.5058 0.0009
Dy: 0.5000 0.5061 0.5061
Dy: 0.7471 0.7513 0.7513
Dy: 0.7479 0.2534 0.7523
Dy: 0.7479 0.7523 0.2534

Largest 12 diffraction maxima, in order of rising 2θ, 15 to 90 degrees two-theta:
- d = 2.925 Å, 2θ = 30.57°, I = 1000
- d = 2.536 Å, 2θ = 35.39°, I = 339
- d = 2.526 Å, 2θ = 35.54°, I = 168
- d = 1.794 Å, 2θ = 50.91°, I = 121
- d = 1.790 Å, 2θ = 51.03°, I = 240
- d = 1.529 Å, 2θ = 60.56°, I = 287
- d = 1.524 Å, 2θ = 60.77°, I = 142
- d = 1.462 Å, 2θ = 63.63°, I = 123
- d = 1.164 Å, 2θ = 82.99°, I = 59
- d = 1.161 Å, 2θ = 83.17°, I = 118
- d = 1.134 Å, 2θ = 85.65°, I = 83
- d = 1.130 Å, 2θ = 85.99°, I = 55



Record 2
For Nd3HoSc3, DFT lattice parameters and positions (GGA-PBE) gives the computed powder diffraction line list in this record (a wavelength of 1.5418 Å).
Lines closer than 0.1° are merged.

Structural model:
a = 7.9646 Å, b = 7.9646 Å, c = 7.9646 Å
α = 69.42°, β = 69.42°, γ = 69.42°
Atoms (fractional coordinates):
Nd: 0.1313 0.8334 0.2743
Nd: 0.1666 0.7257 0.8687
Nd: 0.2743 0.1313 0.8334
Nd: 0.7256 0.8687 0.1666
Nd: 0.8334 0.2744 0.1313
Nd: 0.8687 0.1666 0.7256
Ho: 0.4082 0.4082 0.4082
Ho: 0.5918 0.5918 0.5918
Sc: 0.0305 0.4439 0.3145
Sc: 0.3145 0.0305 0.4439
Sc: 0.4439 0.3145 0.0305
Sc: 0.5561 0.6855 0.9695
Sc: 0.6855 0.9695 0.5561
Sc: 0.9695 0.5561 0.6855

Largest 12 diffraction maxima, in order of rising 2θ, 15 to 90 degrees two-theta:
- d = 3.905 Å, 2θ = 22.77°, I = 137
- d = 3.618 Å, 2θ = 24.60°, I = 187
- d = 3.000 Å, 2θ = 29.78°, I = 447
- d = 2.930 Å, 2θ = 30.51°, I = 1000
- d = 2.820 Å, 2θ = 31.73°, I = 234
- d = 2.478 Å, 2θ = 36.25°, I = 340
- d = 2.291 Å, 2θ = 39.33°, I = 623
- d = 1.944 Å, 2θ = 46.73°, I = 200
- d = 1.714 Å, 2θ = 53.45°, I = 270
- d = 1.488 Å, 2θ = 62.39°, I = 311
- d = 1.480 Å, 2θ = 62.81°, I = 121
- d = 1.433 Å, 2θ = 65.08°, I = 145



Record 3
For CeDyGa2Pd2, DFT lattice parameters and positions (GGA-PBE) gives the computed powder diffraction line list in this record (a wavelength of 1.5418 Å).
Lines closer than 0.1° are merged.

Structural model:
a = 4.5358 Å, b = 4.5358 Å, c = 6.8636 Å
α = 90.00°, β = 90.00°, γ = 120.00°
Atoms (fractional coordinates):
Ce: 0.0000 0.0000 0.0000
Dy: 0.0000 0.0000 0.5000
Ga: 0.3333 0.6667 0.7385
Ga: 0.6667 0.3333 0.2615
Pd: 0.3333 0.6667 0.2630
Pd: 0.6667 0.3333 0.7370

Largest 12 diffraction maxima, in order of rising 2θ, 15 to 90 degrees two-theta:
- d = 3.928 Å, 2θ = 22.64°, I = 87
- d = 3.409 Å, 2θ = 26.14°, I = 34
- d = 2.584 Å, 2θ = 34.71°, I = 1000
- d = 2.268 Å, 2θ = 39.75°, I = 658
- d = 1.716 Å, 2θ = 53.40°, I = 87
- d = 1.705 Å, 2θ = 53.78°, I = 284
- d = 1.572 Å, 2θ = 58.72°, I = 16
- d = 1.368 Å, 2θ = 68.58°, I = 244
- d = 1.363 Å, 2θ = 68.91°, I = 267
- d = 1.309 Å, 2θ = 72.14°, I = 111
- d = 1.134 Å, 2θ = 85.67°, I = 71
- d = 1.098 Å, 2θ = 89.16°, I = 65



Record 4
For Li5AlGa4, DFT lattice parameters and positions (GGA-PBE) gives the computed powder diffraction line list in this record (a wavelength of 1.5418 Å).
Lines closer than 0.1° are merged.

Structural model:
a = 4.9638 Å, b = 5.8355 Å, c = 6.0174 Å
α = 75.35°, β = 77.15°, γ = 73.25°
Atoms (fractional coordinates):
Li: 0.0000 0.0000 0.0000
Li: 0.2035 0.3030 0.5976
Li: 0.3906 0.1087 0.2095
Li: 0.6094 0.8913 0.7905
Li: 0.7965 0.6970 0.4024
Al: 0.0000 0.5000 0.0000
Ga: 0.1989 0.8029 0.6020
Ga: 0.4052 0.6079 0.1984
Ga: 0.5948 0.3921 0.8016
Ga: 0.8011 0.1971 0.3980

Largest 12 diffraction maxima, in order of rising 2θ, 15 to 90 degrees two-theta:
- d = 5.472 Å, 2θ = 16.20°, I = 229
- d = 4.436 Å, 2θ = 20.02°, I = 156
- d = 4.093 Å, 2θ = 21.71°, I = 1000
- d = 2.784 Å, 2θ = 32.15°, I = 756
- d = 2.316 Å, 2θ = 38.89°, I = 423
- d = 2.306 Å, 2θ = 39.07°, I = 420
- d = 2.297 Å, 2θ = 39.23°, I = 413
- d = 2.291 Å, 2θ = 39.33°, I = 411
- d = 2.068 Å, 2θ = 43.78°, I = 301
- d = 2.047 Å, 2θ = 44.25°, I = 290
- d = 1.883 Å, 2θ = 48.35°, I = 225
- d = 1.393 Å, 2θ = 67.20°, I = 160



Record 5
For MgNpC, DFT lattice parameters and positions (GGA-PBE) gives the computed powder diffraction line list in this record (a wavelength of 1.5418 Å).
Lines closer than 0.1° are merged.

Structural model:
a = 3.4863 Å, b = 8.5984 Å, c = 4.9515 Å
α = 90.00°, β = 134.57°, γ = 90.00°
Atoms (fractional coordinates):
Mg: 0.0000 0.1006 0.2500
Mg: 0.0000 0.8994 0.7500
Np: 0.0000 0.3568 0.7500
Np: 0.0000 0.6432 0.2500
C: 0.0000 0.3687 0.2500
C: 0.0000 0.6313 0.7500

Largest 12 diffraction maxima, in order of rising 2θ, 15 to 90 degrees two-theta:
- d = 3.263 Å, 2θ = 27.33°, I = 685
- d = 3.231 Å, 2θ = 27.61°, I = 668
- d = 2.866 Å, 2θ = 31.21°, I = 438
- d = 2.727 Å, 2θ = 32.84°, I = 1000
- d = 2.708 Å, 2θ = 33.08°, I = 982
- d = 2.484 Å, 2θ = 36.17°, I = 486
- d = 2.476 Å, 2θ = 36.29°, I = 482
- d = 2.386 Å, 2θ = 37.70°, I = 206
- d = 2.150 Å, 2θ = 42.03°, I = 275
- d = 1.875 Å, 2θ = 48.55°, I = 522
- d = 1.624 Å, 2θ = 56.67°, I = 428
- d = 1.546 Å, 2θ = 59.83°, I = 242



Record 6
For SrVCoHg2, DFT lattice parameters and positions (GGA-PBE) gives the computed powder diffraction line list in this record (a wavelength of 1.5418 Å).
Lines closer than 0.1° are merged.

Structural model:
a = 5.3207 Å, b = 5.3207 Å, c = 4.3073 Å
α = 90.00°, β = 90.00°, γ = 90.00°
Atoms (fractional coordinates):
Sr: 0.0000 0.0000 0.0000
V: 0.5000 0.5000 0.5000
Co: 0.5000 0.5000 0.0000
Hg: 0.0000 0.5000 0.5000
Hg: 0.5000 0.0000 0.5000

Largest 12 diffraction maxima, in order of rising 2θ, 15 to 90 degrees two-theta:
- d = 4.307 Å, 2θ = 20.62°, I = 249
- d = 3.762 Å, 2θ = 23.65°, I = 153
- d = 2.834 Å, 2θ = 31.57°, I = 1000
- d = 2.660 Å, 2θ = 33.69°, I = 610
- d = 2.263 Å, 2θ = 39.83°, I = 195
- d = 2.154 Å, 2θ = 41.95°, I = 167
- d = 1.881 Å, 2θ = 48.39°, I = 220
- d = 1.674 Å, 2θ = 54.85°, I = 302
- d = 1.567 Å, 2θ = 58.93°, I = 345
- d = 1.417 Å, 2θ = 65.93°, I = 173
- d = 1.341 Å, 2θ = 70.16°, I = 104
- d = 1.092 Å, 2θ = 89.80°, I = 116



Record 7
For RbSnI, DFT lattice parameters and positions (GGA-PBE) gives the computed powder diffraction line list in this record (a wavelength of 1.5418 Å).
Lines closer than 0.1° are merged.

Structural model:
a = 4.8132 Å, b = 5.3829 Å, c = 11.5201 Å
α = 90.41°, β = 90.17°, γ = 90.00°
Atoms (fractional coordinates):
Rb: 0.2470 0.2447 0.3261
Rb: 0.7530 0.7553 0.6739
Sn: 0.2497 0.1121 0.9587
Sn: 0.7503 0.8879 0.0413
I: 0.2528 0.2562 0.6535
I: 0.7472 0.7438 0.3465

Largest 12 diffraction maxima, in order of rising 2θ, 15 to 90 degrees two-theta:
- d = 5.383 Å, 2θ = 16.47°, I = 124
- d = 4.866 Å, 2θ = 18.23°, I = 252
- d = 3.840 Å, 2θ = 23.16°, I = 606
- d = 3.588 Å, 2θ = 24.82°, I = 1000
- d = 3.116 Å, 2θ = 28.65°, I = 107
- d = 3.002 Å, 2θ = 29.76°, I = 121
- d = 2.628 Å, 2θ = 34.12°, I = 588
- d = 2.616 Å, 2θ = 34.28°, I = 258
- d = 2.407 Å, 2θ = 37.37°, I = 225
- d = 2.211 Å, 2θ = 40.81°, I = 119
- d = 2.042 Å, 2θ = 44.36°, I = 107
- d = 2.036 Å, 2θ = 44.49°, I = 106